No. 1
Calculated powder XRD pattern of MgCu6OF11 for Cu Kα, from a PBE-relaxed structure.
Intensities are scaled so that the largest is 100.

Structural model:
Lattice parameters (Å, degrees): 4.7938 5.4889 9.2158 91.00 90.97 90.77
Space group P1 (No. 1)
One atom of each set of equivalent atoms:
Mg1 0.0000 0.0000 0.0000 [1 per cell]
Cu1 0.2130 0.6788 0.1750 [1 per cell]
Cu2 0.2298 0.9874 0.7172 [1 per cell]
Cu3 0.2382 0.3476 0.4622 [1 per cell]
Cu4 0.6641 0.1880 0.1830 [1 per cell]
Cu5 0.7415 0.5015 0.7652 [1 per cell]
Cu6 0.8003 0.8143 0.4063 [1 per cell]
O1 0.9000 0.9004 0.2035 [1 per cell]
F1 0.0124 0.7410 0.8539 [1 per cell]
F2 0.0198 0.0593 0.5235 [1 per cell]
F3 0.3894 0.9603 0.0599 [1 per cell]
F4 0.4578 0.2817 0.6928 [1 per cell]
F5 0.4578 0.6153 0.3796 [1 per cell]
F6 0.4772 0.4556 0.0885 [1 per cell]
F7 0.4920 0.1240 0.3824 [1 per cell]
F8 0.5349 0.7708 0.6997 [1 per cell]
F9 0.9530 0.2290 0.8493 [1 per cell]
F10 0.9691 0.5627 0.5425 [1 per cell]
F11 0.9911 0.3953 0.2249 [1 per cell]

Largest 10 diffraction maxima, by angle, 2θ = 5–70°:
| 2θ (°) | I_rel |
| --- | --- |
| 9.60 | 31 |
| 26.35 | 61 |
| 26.90 | 100 |
| 29.08 | 32 |
| 31.27 | 42 |
| 31.37 | 40 |
| 38.37 | 21 |
| 39.10 | 20 |
| 51.24 | 25 |
| 55.46 | 19 |

***

No. 2
Calculated powder XRD pattern of MgCu2O4F2 for Cu Kα, from a PBE-relaxed structure.
Intensities are scaled so that the largest is 100.

Structural model:
Lattice parameters (Å, degrees): 13.0871 3.3597 5.3176 90.00 108.99 90.00
Space group Cm (No. 8)
One atom of each set of equivalent atoms:
Mg1 0.0000 0.0000 0.0000 [2 per cell]
Cu1 0.9999 0.5000 0.4984 [2 per cell]
Cu2 0.2450 0.5000 0.6813 [2 per cell]
O1 0.0731 0.0000 0.4136 [2 per cell]
O2 0.0733 0.5000 0.8829 [2 per cell]
O3 0.1879 0.5000 0.9611 [2 per cell]
O4 0.1904 0.0000 0.5045 [2 per cell]
F1 0.3942 0.5000 0.6351 [2 per cell]
F2 0.4225 0.0000 0.0931 [2 per cell]

Largest 10 diffraction maxima, by angle, 2θ = 5–70°:
| 2θ (°) | I_rel |
| --- | --- |
| 17.64 | 100 |
| 18.77 | 45 |
| 27.51 | 49 |
| 28.86 | 54 |
| 31.53 | 70 |
| 35.40 | 34 |
| 42.23 | 41 |
| 43.02 | 33 |
| 44.29 | 63 |
| 59.09 | 34 |

***

No. 3
Calculated powder XRD pattern of MgCu6OF11 for Cu Kα, from a PBE-relaxed structure.
Intensities are scaled so that the largest is 100.

Structural model:
Lattice parameters (Å, degrees): 4.9634 5.5644 8.8131 91.56 90.84 99.90
Space group P1 (No. 1)
One atom of each set of equivalent atoms:
Mg1 0.0000 0.0000 0.0000 [1 per cell]
Cu1 0.2563 0.2081 0.5697 [1 per cell]
Cu2 0.3018 0.5549 0.2221 [1 per cell]
Cu3 0.4446 0.7708 0.8121 [1 per cell]
Cu4 0.7749 0.1372 0.3673 [1 per cell]
Cu5 0.7951 0.7116 0.5419 [1 per cell]
Cu6 0.7966 0.4065 0.9017 [1 per cell]
O1 0.0176 0.9708 0.4642 [1 per cell]
F1 0.9996 0.7348 0.8371 [1 per cell]
F2 0.0079 0.4352 0.4884 [1 per cell]
F3 0.0257 0.2722 0.1506 [1 per cell]
F4 0.0803 0.2337 0.8327 [1 per cell]
F5 0.0812 0.7692 0.1398 [1 per cell]
F6 0.4879 0.9732 0.6351 [1 per cell]
F7 0.5016 0.3330 0.3211 [1 per cell]
F8 0.5137 0.5663 0.9795 [1 per cell]
F9 0.5237 0.4859 0.6515 [1 per cell]
F10 0.5590 0.8227 0.3061 [1 per cell]
F11 0.6121 0.0645 0.9544 [1 per cell]

Largest 10 diffraction maxima, by angle, 2θ = 5–70°:
| 2θ (°) | I_rel |
| --- | --- |
| 24.46 | 47 |
| 26.98 | 81 |
| 28.66 | 100 |
| 30.06 | 68 |
| 30.45 | 29 |
| 32.94 | 29 |
| 33.98 | 32 |
| 35.11 | 32 |
| 46.41 | 29 |
| 55.15 | 27 |